Diffraction record for Na2ScOsO6. The X-ray powder pattern is simulated, not measured: it uses the PBE geometry in OQMD and Cu Kα X-rays.
No peak broadening, texture or thermal motion is included.

Principal peaks in the range 10° ≤ 2θ ≤ 80°, by intensity:
d = 4.209 Å, 21.11 deg, intensity 100, hkl 1 0 1; d = 2.653 Å, 33.78 deg, intensity 40, hkl 1 0 3; d = 4.833 Å, 18.36 deg, intensity 38, hkl 0 0 2; d = 2.699 Å, 33.19 deg, intensity 34, hkl 1 1 0; d = 2.356 Å, 38.19 deg, intensity 33, hkl 2 -1 2; d = 1.800 Å, 50.70 deg, intensity 28, hkl 2 -1 4

Structure:
```
data_Na2ScOsO6
_chemical_formula_sum 'Na4 Sc2 Os2 O12'
_cell_length_a 5.3980
_cell_length_b 5.3980
_cell_length_c 9.6670
_cell_angle_alpha 90.00
_cell_angle_beta 90.00
_cell_angle_gamma 120.00
_symmetry_space_group_name_H-M 'P -3 1 c'
_symmetry_Int_Tables_number 163
_symmetry_space_group_name_Hall '-P 3 2c'
loop_
_atom_site_label
_atom_site_fract_x
_atom_site_fract_y
_atom_site_fract_z
_atom_site_occupancy
Na1 0.3333 0.6667 0.0528 1
Sc1 0.0000 0.0000 0.2500 1
Os1 0.3333 0.6667 0.7500 1
O1 0.0674 0.3606 0.8629 1
```

=====

Diffraction record for CuSnIrSe3. The X-ray powder pattern is simulated, not measured: it uses the PBE geometry in OQMD and Cu Kα X-rays.
No peak broadening, texture or thermal motion is included.

Principal peaks in the range 10° ≤ 2θ ≤ 80°, by intensity:
d = 2.959 Å, 30.21 deg, intensity 100, hkl 0 1 0; d = 2.477 Å, 36.27 deg, intensity 75, hkl 2 0 3; d = 1.899 Å, 47.89 deg, intensity 68, hkl 2 1 3; d = 8.680 Å, 10.19 deg, intensity 53, hkl 0 0 1; d = 2.396 Å, 37.53 deg, intensity 49, hkl 4 0 0; d = 1.862 Å, 48.91 deg, intensity 45, hkl 4 1 0

Structure:
```
data_CuSnIrSe3
_chemical_formula_sum 'Cu2 Sn2 Ir2 Se6'
_cell_length_a 9.585
_cell_length_b 2.959
_cell_length_c 8.680
_cell_angle_alpha 90.00
_cell_angle_beta 90.00
_cell_angle_gamma 90.00
_symmetry_space_group_name_H-M 'P m m a'
_symmetry_Int_Tables_number 51
_symmetry_space_group_name_Hall '-P 2a 2a'
loop_
_atom_site_label
_atom_site_fract_x
_atom_site_fract_y
_atom_site_fract_z
_atom_site_occupancy
Cu1 0.250 0.000 0.167 1
Sn1 0.250 0.000 0.535 1
Ir1 0.000 0.000 0.000 1
Se1 0.029 0.000 0.288 1
Se2 0.250 0.000 0.894 1
```

=====

Diffraction record for KRbCdSn. The X-ray powder pattern is simulated, not measured: it uses the PBE geometry in OQMD and Cu Kα X-rays.
No peak broadening, texture or thermal motion is included.

Principal peaks in the range 10° ≤ 2θ ≤ 80°, by intensity:
d = 3.042 Å, 29.36 deg, intensity 100, hkl 1 3 1; d = 5.607 Å, 15.80 deg, intensity 58, hkl 0 2 0; d = 2.617 Å, 34.26 deg, intensity 50, hkl 2 0 2; d = 2.983 Å, 29.95 deg, intensity 50, hkl 2 1 1; d = 2.372 Å, 37.94 deg, intensity 45, hkl 2 2 2; d = 3.422 Å, 26.04 deg, intensity 44, hkl 0 3 1

Structure:
```
data_KRbCdSn
_chemical_formula_sum 'K4 Rb4 Cd4 Sn4'
_cell_length_a 6.645
_cell_length_b 11.214
_cell_length_c 8.499
_cell_angle_alpha 90.00
_cell_angle_beta 90.00
_cell_angle_gamma 90.00
_symmetry_space_group_name_H-M 'A m m 2'
_symmetry_Int_Tables_number 38
_symmetry_space_group_name_Hall 'A 2 -2'
loop_
_atom_site_label
_atom_site_fract_x
_atom_site_fract_y
_atom_site_fract_z
_atom_site_occupancy
K1 0.000 0.171 0.000 1
Rb1 0.500 0.172 0.697 1
Cd1 0.250 0.000 0.345 1
Sn1 0.000 0.000 0.612 1
Sn2 0.500 0.000 0.079 1
```

=====

What is the formula in the second record? CuSnIrSe3